Structure and computed powder X-ray diffraction pattern of La3P3Ru (a structure optimized by DFT (GGA-PBE); copper Kα).
Intensities are scaled so that the largest is 100.

Cell and atoms:
a = 7.5776 Å, b = 4.0262 Å, c = 11.0323 Å
α = 90.00°, β = 90.41°, γ = 90.00°
Space group P2_1/m (No. 11)
Inequivalent atoms, fractional coordinates:
La1 0.1023 0.2500 0.1232 [2 per cell]
La2 0.1729 0.2500 0.6107 [2 per cell]
La3 0.3908 0.7500 0.8546 [2 per cell]
P1 0.1325 0.2500 0.3682 [2 per cell]
P2 0.3571 0.7500 0.1301 [2 per cell]
P3 0.4602 0.7500 0.5875 [2 per cell]
Ru1 0.3602 0.7500 0.3694 [2 per cell]

Main lines, sorted by position (10° ≤ 2θ ≤ 90°):
(0 1 2), 2θ = 27.43°, I 57.1
(2 0 -2), 2θ = 28.48°, I 23.2
(2 0 2), 2θ = 28.68°, I 24.0
(0 0 4), 2θ = 32.45°, I 100.0
(0 2 0), 2θ = 45.03°, I 15.5
(2 1 -4), 2θ = 46.43°, I 16.7
(2 1 4), 2θ = 46.69°, I 25.8
(2 2 -2), 2θ = 54.13°, I 11.8
(0 2 4), 2θ = 56.60°, I 13.6
(2 1 8), 2θ = 77.54°, I 8.9

Structure and computed powder X-ray diffraction pattern of LaTcP2Ru (a structure optimized by DFT (GGA-PBE); copper Kα).
Intensities are scaled so that the largest is 100.

Cell and atoms:
a = 4.1400 Å, b = 4.1400 Å, c = 10.3806 Å
α = 90.00°, β = 90.00°, γ = 90.00°
Space group I-4m2 (No. 119)
Inequivalent atoms, fractional coordinates:
La1 0.0000 0.0000 0.0000 [2 per cell]
Tc1 0.0000 0.5000 0.2500 [2 per cell]
P1 0.0000 0.0000 0.3571 [4 per cell]
Ru1 0.0000 0.5000 0.7500 [2 per cell]

Main lines, sorted by position (10° ≤ 2θ ≤ 90°):
(1 0 1), 2θ = 23.13°, I 25.4
(1 0 3), 2θ = 33.76°, I 38.7
(0 0 4), 2θ = 34.56°, I 20.0
(1 1 2), 2θ = 35.20°, I 100.0
(2 0 0), 2θ = 43.73°, I 40.5
(2 1 3), 2θ = 56.36°, I 17.1
(2 0 4), 2θ = 56.90°, I 19.1
(1 1 6), 2θ = 62.34°, I 24.7
(2 2 0), 2θ = 63.56°, I 13.0
(3 1 2), 2θ = 74.79°, I 21.5

Structure and computed powder X-ray diffraction pattern of La8PS6 (a structure optimized by DFT (GGA-PBE); copper Kα).
Intensities are scaled so that the largest is 100.

Cell and atoms:
a = 10.4921 Å, b = 10.4921 Å, c = 4.2731 Å
α = 90.00°, β = 90.00°, γ = 120.00°
Space group P-3 (No. 147)
Inequivalent atoms, fractional coordinates:
La1 0.0328 0.3216 0.2420 [6 per cell]
La2 0.3333 0.6667 0.7514 [2 per cell]
P1 0.0000 0.0000 0.0000 [1 per cell]
S1 0.1311 0.6493 0.2525 [6 per cell]

Main lines, sorted by position (10° ≤ 2θ ≤ 90°):
(2 -1 1), 2θ = 26.91°, I 100.0
(0 2 1), 2θ = 28.68°, I 51.1
(3 0 0), 2θ = 29.49°, I 99.9
(3 -1 1), 2θ = 33.48°, I 56.6
(1 3 0), 2θ = 35.63°, I 22.5
(2 2 1), 2θ = 40.35°, I 48.5
(0 0 2), 2θ = 42.30°, I 22.8
(3 2 1), 2θ = 48.60°, I 37.2
(3 0 2), 2θ = 52.39°, I 45.2
(3 5 1), 2θ = 76.73°, I 22.6

Structure and computed powder X-ray diffraction pattern of La2PS (a structure optimized by DFT (GGA-PBE); copper Kα).
Intensities are scaled so that the largest is 100.

Cell and atoms:
a = 4.2222 Å, b = 5.9621 Å, c = 8.4370 Å
α = 90.00°, β = 90.00°, γ = 90.00°
Space group Pmmn (No. 59, origin choice 2)
Inequivalent atoms, fractional coordinates:
La1 0.2500 0.2500 0.1202 [2 per cell]
La2 0.2500 0.2500 0.6300 [2 per cell]
P1 0.2500 0.7500 0.1285 [2 per cell]
S1 0.2500 0.7500 0.6228 [2 per cell]

Main lines, sorted by position (10° ≤ 2θ ≤ 90°):
(1 1 0), 2θ = 25.86°, I 72.1
(0 2 0), 2θ = 29.95°, I 100.0
(2 0 0), 2θ = 42.87°, I 73.1
(1 3 0), 2θ = 50.75°, I 36.1
(2 2 0), 2θ = 53.18°, I 25.6
(0 4 0), 2θ = 62.24°, I 11.8
(3 1 0), 2θ = 68.56°, I 14.5
(3 0 2), 2θ = 70.60°, I 32.4
(2 4 0), 2θ = 78.54°, I 24.1
(3 3 0), 2θ = 84.33°, I 8.2

Structure and computed powder X-ray diffraction pattern of LaPS4 (a structure optimized by DFT (GGA-PBE); copper Kα).
Intensities are scaled so that the largest is 100.

Cell and atoms:
a = 11.2004 Å, b = 11.2004 Å, c = 19.5395 Å
α = 90.00°, β = 90.00°, γ = 90.00°
Space group I4_1/acd (No. 142, origin choice 2)
Inequivalent atoms, fractional coordinates:
La1 0.0000 0.2500 0.1250 [8 per cell]
La2 0.0000 0.2500 0.3750 [8 per cell]
P1 0.0359 0.0000 0.2500 [16 per cell]
S1 0.0666 0.0014 0.8369 [32 per cell]
S2 0.0957 0.1154 0.0013 [32 per cell]

Main lines, sorted by position (10° ≤ 2θ ≤ 90°):
(2 0 0), 2θ = 15.82°, I 100.0
(0 0 4), 2θ = 18.22°, I 26.0
(2 0 4), 2θ = 24.18°, I 64.6
(2 2 4), 2θ = 29.02°, I 67.5
(4 0 0), 2θ = 31.96°, I 21.0
(4 2 0), 2θ = 35.85°, I 38.3
(0 0 8), 2θ = 36.81°, I 20.9
(4 0 4), 2θ = 37.01°, I 53.7
(2 0 8), 2θ = 40.28°, I 23.7
(4 2 4), 2θ = 40.47°, I 55.6

Structure and computed powder X-ray diffraction pattern of LaThPS (a structure optimized by DFT (GGA-PBE); copper Kα).
Intensities are scaled so that the largest is 100.

Cell and atoms:
a = 4.1426 Å, b = 4.1426 Å, c = 5.8757 Å
α = 90.00°, β = 90.00°, γ = 90.00°
Space group P4/mmm (No. 123)
Inequivalent atoms, fractional coordinates:
La1 0.0000 0.0000 0.0000 [1 per cell]
Th1 0.5000 0.5000 0.5000 [1 per cell]
P1 0.0000 0.0000 0.5000 [1 per cell]
S1 0.5000 0.5000 0.0000 [1 per cell]

Main lines, sorted by position (10° ≤ 2θ ≤ 90°):
(1 0 1), 2θ = 26.32°, I 91.6
(1 1 0), 2θ = 30.49°, I 100.0
(2 0 0), 2θ = 43.66°, I 74.4
(1 0 3), 2θ = 51.62°, I 15.6
(2 1 1), 2θ = 51.74°, I 31.0
(2 0 2), 2θ = 54.18°, I 26.3
(3 0 1), 2θ = 69.92°, I 19.2
(1 1 4), 2θ = 71.90°, I 11.4
(3 1 0), 2θ = 72.08°, I 22.6
(3 1 2), 2θ = 80.23°, I 17.0

Structure and computed powder X-ray diffraction pattern of LaTmP2S8 (a structure optimized by DFT (GGA-PBE); copper Kα).
Intensities are scaled so that the largest is 100.

Cell and atoms:
a = 6.5907 Å, b = 6.5907 Å, c = 8.5845 Å
α = 90.00°, β = 90.00°, γ = 120.00°
Space group P-3m1 (No. 164)
Inequivalent atoms, fractional coordinates:
La1 0.0000 0.0000 0.0000 [1 per cell]
Tm1 0.0000 0.0000 0.5000 [1 per cell]
P1 0.3333 0.6667 0.1956 [2 per cell]
S1 0.1630 0.3261 0.2759 [6 per cell]
S2 0.3333 0.6667 0.9648 [2 per cell]

Main lines, sorted by position (10° ≤ 2θ ≤ 90°):
(1 0 0), 2θ = 15.52°, I 100.0
(1 0 1), 2θ = 18.67°, I 29.4
(1 0 2), 2θ = 25.97°, I 52.7
(1 1 0), 2θ = 27.06°, I 47.9
(1 1 2), 2θ = 34.31°, I 54.6
(2 0 2), 2θ = 37.86°, I 45.5
(2 1 0), 2θ = 41.87°, I 16.2
(1 0 4), 2θ = 45.13°, I 17.4
(2 1 2), 2θ = 47.15°, I 24.3
(2 2 0), 2θ = 55.79°, I 17.3

Structure and computed powder X-ray diffraction pattern of LaSb2P3 (a structure optimized by DFT (GGA-PBE); copper Kα).
Intensities are scaled so that the largest is 100.

Cell and atoms:
a = 13.3281 Å, b = 4.3187 Å, c = 5.9981 Å
α = 90.00°, β = 114.21°, γ = 90.00°
Space group C2 (No. 5)
Inequivalent atoms, fractional coordinates:
La1 0.0000 0.0000 0.0000 [2 per cell]
Sb1 0.1636 0.3722 0.6346 [4 per cell]
P1 0.0000 0.9649 0.5000 [2 per cell]
P2 0.1680 0.4793 0.2098 [4 per cell]

Main lines, sorted by position (10° ≤ 2θ ≤ 90°):
(1 1 0), 2θ = 21.84°, I 11.8
(1 1 -1), 2θ = 25.42°, I 54.9
(2 0 1), 2θ = 26.00°, I 29.5
(4 0 -1), 2θ = 27.10°, I 27.5
(2 0 -2), 2θ = 29.81°, I 61.0
(3 1 0), 2θ = 30.25°, I 100.0
(0 2 0), 2θ = 41.83°, I 12.6
(1 1 2), 2θ = 42.27°, I 34.3
(5 1 -2), 2θ = 43.71°, I 32.7
(6 0 0), 2θ = 44.73°, I 19.0

Structure and computed powder X-ray diffraction pattern of La6Sb5P (a structure optimized by DFT (GGA-PBE); copper Kα).
Intensities are scaled so that the largest is 100.

Cell and atoms:
a = 7.9247 Å, b = 13.7098 Å, c = 7.9135 Å
α = 90.00°, β = 109.52°, γ = 90.00°
Space group C2/m (No. 12)
Inequivalent atoms, fractional coordinates:
La1 0.2381 0.0000 0.2559 [4 per cell]
La2 0.2404 0.1600 0.7416 [8 per cell]
Sb1 0.0000 0.1711 0.0000 [4 per cell]
Sb2 0.0000 0.3341 0.5000 [4 per cell]
Sb3 0.0000 0.5000 0.0000 [2 per cell]
P1 0.0000 0.0000 0.5000 [2 per cell]

Main lines, sorted by position (10° ≤ 2θ ≤ 90°):
(0 0 2), 2θ = 23.85°, I 2.1
(2 0 -2), 2θ = 27.60°, I 100.0
(1 3 -3), 2θ = 39.43°, I 75.7
(0 0 4), 2θ = 48.80°, I 26.9
(4 0 -4), 2θ = 56.98°, I 12.5
(3 3 -5), 2θ = 64.46°, I 33.8
(4 6 -4), 2θ = 71.47°, I 14.2
(2 0 -6), 2θ = 71.54°, I 10.3
(6 6 -2), 2θ = 84.81°, I 3.8
(2 6 -6), 2θ = 84.89°, I 3.9

Structure and computed powder X-ray diffraction pattern of LaSb3P5 (a structure optimized by DFT (GGA-PBE); copper Kα).
Intensities are scaled so that the largest is 100.

Cell and atoms:
a = 9.0448 Å, b = 9.0448 Å, c = 7.1057 Å
α = 90.00°, β = 90.00°, γ = 120.00°
Space group P6_3/m (No. 176)
Inequivalent atoms, fractional coordinates:
La1 0.0000 0.0000 0.0000 [2 per cell]
Sb1 0.0650 0.6565 0.2500 [6 per cell]
P1 0.0194 0.2763 0.2500 [6 per cell]
P2 0.3333 0.6667 0.0903 [4 per cell]

Main lines, sorted by position (10° ≤ 2θ ≤ 90°):
(1 0 1), 2θ = 16.85°, I 59.9
(1 1 1), 2θ = 23.32°, I 70.6
(1 0 2), 2θ = 27.57°, I 31.2
(2 1 0), 2θ = 30.19°, I 43.9
(1 1 2), 2θ = 32.04°, I 100.0
(1 2 1), 2θ = 32.77°, I 56.1
(3 0 0), 2θ = 34.35°, I 64.9
(1 2 2), 2θ = 39.63°, I 39.2
(2 2 2), 2θ = 47.67°, I 27.1
(4 0 1), 2θ = 48.20°, I 29.0

Structure and computed powder X-ray diffraction pattern of La2SmScP4 (a structure optimized by DFT (GGA-PBE); copper Kα).
Intensities are scaled so that the largest is 100.

Cell and atoms:
a = 7.1122 Å, b = 4.1179 Å, c = 7.1152 Å
α = 90.00°, β = 109.48°, γ = 90.00°
Space group P2/m (No. 10)
Inequivalent atoms, fractional coordinates:
La1 0.0000 0.0000 0.0000 [1 per cell]
La2 0.0000 0.5000 0.5000 [1 per cell]
Sm1 0.5000 0.0000 0.5000 [1 per cell]
Sc1 0.5000 0.5000 0.0000 [1 per cell]
P1 0.2650 0.5000 0.2457 [2 per cell]
P2 0.2710 0.0000 0.7660 [2 per cell]

Main lines, sorted by position (10° ≤ 2θ ≤ 90°):
(2 0 0), 2θ = 26.56°, I 65.1
(1 1 1), 2θ = 30.76°, I 100.0
(0 2 0), 2θ = 44.05°, I 60.1
(2 0 2), 2θ = 44.11°, I 11.8
(3 1 1), 2θ = 52.18°, I 29.6
(2 2 -2), 2θ = 54.67°, I 18.8
(2 2 2), 2θ = 64.07°, I 11.4
(5 1 -1), 2θ = 70.64°, I 8.7
(0 2 4), 2θ = 72.77°, I 25.9
(4 2 -4), 2θ = 81.08°, I 13.5

Structure and computed powder X-ray diffraction pattern of La8P4Se3 (a structure optimized by DFT (GGA-PBE); copper Kα).
Intensities are scaled so that the largest is 100.

Cell and atoms:
a = 12.0734 Å, b = 12.1028 Å, c = 8.5366 Å
α = 90.00°, β = 134.77°, γ = 90.00°
Space group C2/m (No. 12)
Inequivalent atoms, fractional coordinates:
La1 0.0000 0.2433 0.0000 [4 per cell]
La2 0.0000 0.2445 0.5000 [4 per cell]
La3 0.2357 0.0000 0.4830 [4 per cell]
La4 0.2412 0.0000 0.9902 [4 per cell]
P1 0.0000 0.0000 0.0000 [2 per cell]
P2 0.0000 0.0000 0.5000 [2 per cell]
P3 0.2500 0.2500 0.0000 [4 per cell]
Se1 0.0000 0.5000 0.5000 [2 per cell]
Se2 0.2500 0.2500 0.5000 [4 per cell]

Main lines, sorted by position (10° ≤ 2θ ≤ 90°):
(2 2 -2), 2θ = 25.50°, I 71.1
(0 4 0), 2θ = 29.50°, I 100.0
(4 0 -2), 2θ = 29.60°, I 49.8
(0 4 2), 2θ = 42.20°, I 55.1
(4 0 -4), 2θ = 42.31°, I 55.4
(2 2 -4), 2θ = 50.01°, I 17.1
(4 4 0), 2θ = 52.32°, I 19.1
(4 4 -4), 2θ = 52.47°, I 19.6
(4 0 -6), 2θ = 69.48°, I 24.3
(4 4 -6), 2θ = 77.31°, I 12.1